1.
# Mg2Si3
Computed X-ray powder pattern, CuKα. Input: a DFT-relaxed cell (PBE, the Materials Project).

Cell: 4.516 5.242 17.069 Å, 92.59 95.63 111.62°
Space group P-1 (No. 2)
Asymmetric unit:
Mg1 0.013 0.395 0.284
Mg2 0.057 0.647 0.905
Mg3 0.347 0.178 0.588
Mg4 0.355 0.205 0.800
Si1 0.079 0.592 0.564
Si2 0.219 0.949 0.296
Si3 0.232 0.921 0.074
Si4 0.326 0.225 0.419
Si5 0.363 0.256 0.975
Si6 0.427 0.237 0.191

Main lines, in order of rising 2θ (2θ from 10° to 90°):
two_theta  Rel. int.  index
31.95  54  1 0 -5
33.18  40  1 1 0
35.12  27  1 -2 0
35.43  36  1 -2 1
35.59  32  1 -1 5
36.20  48  1 0 5
40.20  100  2 -1 0
43.95  45  0 2 -5
44.80  41  -1 2 5
45.60  33  1 1 5

=====

2.
# Mg4Si3
Computed X-ray powder pattern, CuKα. Input: a DFT-relaxed cell (PBE, the Materials Project).

Cell: 7.000 7.019 11.638 Å, 94.10 91.28 108.81°
Space group P1 (No. 1)
Asymmetric unit:
Mg1 0.000 0.000 0.000
Mg2 0.001 0.546 0.415
Mg3 0.032 0.292 0.787
Mg4 0.270 0.963 0.522
Mg5 0.313 0.365 0.422
Mg6 0.319 0.425 0.023
Mg7 0.323 0.679 0.697
Mg8 0.357 0.136 0.200
Mg9 0.367 0.127 0.820
Mg10 0.393 0.741 0.283
Mg11 0.441 0.867 0.002
Mg12 0.652 0.172 0.401
Mg13 0.667 0.592 0.847
Mg14 0.687 0.739 0.515
Mg15 0.770 0.324 0.013
Mg16 0.965 0.932 0.317
Si1 0.057 0.318 0.207
Si2 0.069 0.651 0.899
Si3 0.081 0.688 0.121
Si4 0.515 0.379 0.633
Si5 0.644 0.078 0.642
Si6 0.650 0.519 0.295
Si7 0.700 0.985 0.832
Si8 0.709 0.689 0.116
Si9 0.720 0.051 0.179
Si10 0.892 0.516 0.639
Si11 0.967 0.149 0.538
Si12 0.995 0.888 0.712

Main lines, in order of rising 2θ (2θ from 10° to 90°):
two_theta  Rel. int.  index
33.24  53  1 1 3
34.66  55  2 -2 2
34.80  100  -2 1 3
35.49  69  -2 2 2
36.19  70  1 2 -2
36.59  50  1 1 -4
38.69  80  1 2 2
39.94  54  -1 3 1
40.12  61  0 1 -5
40.89  96  3 0 0

=====

3.
# Mg4Si3
Computed X-ray powder pattern, CuKα. Input: a DFT-relaxed cell (PBE, the Materials Project).

Cell: 6.556 6.982 12.813 Å, 100.01 91.63 103.68°
Space group P1 (No. 1)
Asymmetric unit:
Mg1 0.000 0.000 0.000
Mg2 0.004 0.605 0.115
Mg3 0.043 0.554 0.604
Mg4 0.085 0.227 0.414
Mg5 0.301 0.578 0.816
Mg6 0.345 0.930 0.518
Mg7 0.377 0.123 0.819
Mg8 0.450 0.654 0.310
Mg9 0.490 0.521 0.522
Mg10 0.533 0.191 0.319
Mg11 0.548 0.716 0.063
Mg12 0.612 0.241 0.046
Mg13 0.804 0.551 0.892
Mg14 0.862 0.912 0.551
Mg15 0.907 0.575 0.374
Mg16 0.919 0.170 0.791
Si1 0.049 0.811 0.785
Si2 0.165 0.887 0.301
Si3 0.225 0.249 0.638
Si4 0.233 0.377 0.977
Si5 0.260 0.317 0.164
Si6 0.301 0.968 0.136
Si7 0.614 0.359 0.692
Si8 0.617 0.906 0.889
Si9 0.690 0.740 0.715
Si10 0.717 0.227 0.518
Si11 0.811 0.904 0.251
Si12 0.900 0.248 0.213

Main lines, in order of rising 2θ (2θ from 10° to 90°):
two_theta  Rel. int.  index
33.72  53  0 1 4
33.89  100  2 -2 0
35.23  93  2 1 -2
35.65  62  2 -2 2
36.44  66  1 -2 4
37.46  45  1 0 -5
38.02  48  -2 2 2
38.74  56  1 1 4
40.60  45  0 3 0
44.48  76  1 0 -6

=====

4.
# Mg4Si7
Computed X-ray powder pattern, CuKα. Input: a DFT-relaxed cell (PBE, the Materials Project).

Cell: 4.295 6.792 13.501 Å, 92.93 92.04 92.41°
Space group P1 (No. 1)
Asymmetric unit:
Mg1 0.000 0.000 0.000
Mg2 0.016 0.662 0.190
Mg3 0.033 0.132 0.243
Mg4 0.050 0.514 0.414
Mg5 0.081 0.030 0.489
Mg6 0.547 0.821 0.337
Mg7 0.567 0.583 0.765
Mg8 0.634 0.039 0.678
Si1 0.027 0.393 0.041
Si2 0.028 0.314 0.825
Si3 0.063 0.357 0.642
Si4 0.068 0.638 0.909
Si5 0.075 0.718 0.628
Si6 0.149 0.894 0.789
Si7 0.509 0.159 0.873
Si8 0.516 0.908 0.136
Si9 0.518 0.432 0.261
Si10 0.530 0.261 0.096
Si11 0.557 0.375 0.552
Si12 0.567 0.731 0.531
Si13 0.570 0.643 0.010
Si14 0.572 0.208 0.391

Main lines, in order of rising 2θ (2θ from 10° to 90°):
two_theta  Rel. int.  index
34.68  29  1 2 -1
35.39  40  1 -2 2
35.60  88  1 1 -4
36.00  43  -1 1 4
36.15  59  1 -1 4
36.54  30  0 1 5
37.86  41  1 1 4
38.67  36  0 2 4
38.83  51  1 2 -3
42.15  100  2 0 0

=====

5.
# Mg3Si4
Computed X-ray powder pattern, CuKα. Input: a DFT-relaxed cell (PBE, the Materials Project).

Cell: 5.760 6.934 7.205 Å, 113.73 91.15 107.71°
Space group P1 (No. 1)
Asymmetric unit:
Mg1 0.000 0.000 0.000
Mg2 0.019 0.719 0.552
Mg3 0.141 0.309 0.470
Mg4 0.245 0.832 0.255
Mg5 0.484 0.960 0.931
Mg6 0.628 0.284 0.430
Si1 0.316 0.153 0.714
Si2 0.421 0.389 0.116
Si3 0.532 0.687 0.503
Si4 0.555 0.575 0.891
Si5 0.740 0.886 0.297
Si6 0.830 0.119 0.702
Si7 0.930 0.402 0.118
Si8 0.969 0.546 0.848

Main lines, in order of rising 2θ (2θ from 10° to 90°):
two_theta  Rel. int.  index
31.29  25  2 -1 0
36.19  73  2 -2 1
37.56  100  0 1 -3
38.04  18  2 0 1
38.20  98  0 2 1
39.25  52  2 1 -1
41.86  85  0 3 -2
42.78  29  -2 1 2
47.05  34  2 0 2
62.24  18  2 -3 4

=====

6.
# Mg3Si4
Computed X-ray powder pattern, CuKα. Input: a DFT-relaxed cell (PBE, the Materials Project).

Cell: 7.564 4.123 8.440 Å, 90.00 107.24 90.00°
Space group P2_1/m (No. 11)
Asymmetric unit:
Mg1 0.026 0.250 0.122
Mg2 0.321 0.250 0.905
Mg3 0.337 0.250 0.500
Si1 0.057 0.750 0.340
Si2 0.159 0.750 0.642
Si3 0.293 0.750 0.178
Si4 0.497 0.750 0.752

Main lines, in order of rising 2θ (2θ from 10° to 90°):
two_theta  Rel. int.  index
32.97  36  2 1 0
35.49  100  2 1 -2
35.91  81  1 1 2
37.20  56  2 1 1
38.83  50  1 1 -3
39.07  19  1 0 3
42.00  49  3 1 -1
42.87  37  1 0 -4
43.91  71  0 2 0
63.04  23  1 2 -4

=====

7.
# Mg2Si3
Computed X-ray powder pattern, CuKα. Input: a DFT-relaxed cell (PBE, the Materials Project).

Cell: 10.273 4.128 17.340 Å, 90.00 93.15 90.00°
Space group C2/m (No. 12)
Asymmetric unit:
Mg1 0.027 0.000 0.312
Mg2 0.111 0.500 0.827
Mg3 0.139 0.000 0.523
Mg4 0.154 0.500 0.040
Si1 0.046 0.500 0.426
Si2 0.072 0.000 0.945
Si3 0.089 0.000 0.161
Si4 0.150 0.500 0.659
Si5 0.200 0.500 0.197
Si6 0.223 0.500 0.335

Main lines, in order of rising 2θ (2θ from 10° to 90°):
two_theta  Rel. int.  index
30.99  44  0 0 6
34.05  38  3 1 0
34.23  80  3 1 -1
34.56  100  1 1 -5
36.03  50  4 0 -2
38.16  75  3 1 3
41.74  29  0 0 8
42.23  45  3 1 -5
43.86  89  0 2 0
44.07  51  3 1 5

=====

8.
# Mg4Si3
Computed X-ray powder pattern, CuKα. Input: a DFT-relaxed cell (PBE, the Materials Project).

Cell: 5.956 7.372 12.037 Å, 90.00 90.00 90.00°
Space group I222 (No. 23)
Asymmetric unit:
Mg1 0.000 0.000 0.197
Mg2 0.000 0.500 0.290
Mg3 0.249 0.161 0.411
Si1 0.209 0.500 0.500
Si2 0.247 0.201 0.638

Main lines, in order of rising 2θ (2θ from 10° to 90°):
two_theta  Rel. int.  index
30.01  47  2 0 0
33.58  65  2 0 2
35.58  50  1 1 4
37.35  100  0 3 1
38.62  76  0 2 4
38.88  60  2 2 0
39.37  78  0 1 5
39.62  85  2 1 3
41.78  46  2 2 2
62.36  49  4 0 0

=====

9.
# Mg3Si4
Computed X-ray powder pattern, CuKα. Input: a DFT-relaxed cell (PBE, the Materials Project).

Cell: 5.872 7.102 7.613 Å, 111.88 111.14 93.82°
Space group P1 (No. 1)
Asymmetric unit:
Mg1 0.000 0.000 0.000
Mg2 0.004 0.177 0.699
Mg3 0.013 0.800 0.322
Mg4 0.203 0.457 0.476
Mg5 0.435 0.717 0.008
Mg6 0.597 0.292 0.009
Si1 0.167 0.444 0.099
Si2 0.225 0.856 0.720
Si3 0.415 0.102 0.378
Si4 0.553 0.958 0.632
Si5 0.591 0.663 0.371
Si6 0.708 0.436 0.534
Si7 0.778 0.130 0.298
Si8 0.826 0.567 0.904

Main lines, in order of rising 2θ (2θ from 10° to 90°):
two_theta  Rel. int.  index
31.67  15  1 2 -2
34.39  100  2 1 -1
36.24  18  0 1 2
36.86  35  1 -2 2
38.27  50  0 3 -1
38.61  17  2 -2 0
39.42  15  0 2 -3
41.70  22  2 0 -3
42.23  17  0 0 3
47.46  20  -3 1 1

=====

10.
# Mg4Si3
Computed X-ray powder pattern, CuKα. Input: a DFT-relaxed cell (PBE, the Materials Project).

Cell: 5.015 7.258 7.771 Å, 97.52 97.41 105.38°
Space group P1 (No. 1)
Asymmetric unit:
Mg1 0.000 0.000 0.000
Mg2 0.051 0.875 0.600
Mg3 0.190 0.319 0.782
Mg4 0.289 0.218 0.401
Mg5 0.383 0.744 0.883
Mg6 0.449 0.651 0.494
Mg7 0.626 0.237 0.094
Mg8 0.802 0.662 0.197
Si1 0.208 0.426 0.139
Si2 0.367 0.866 0.218
Si3 0.595 0.086 0.731
Si4 0.745 0.080 0.444
Si5 0.767 0.545 0.792
Si6 0.897 0.465 0.503

Main lines, in order of rising 2θ (2θ from 10° to 90°):
two_theta  Rel. int.  index
35.48  20  0 0 3
35.64  100  0 1 -3
36.26  85  1 2 0
37.09  63  -1 2 2
38.64  18  1 1 2
39.06  85  1 -3 1
39.49  38  2 -1 1
40.68  15  1 2 1
41.12  26  2 0 -2
47.75  22  2 0 -3

=====

11.
# Mg3Si4
Computed X-ray powder pattern, CuKα. Input: a DFT-relaxed cell (PBE, the Materials Project).

Cell: 4.598 7.417 7.942 Å, 67.30 88.35 89.25°
Space group P1 (No. 1)
Asymmetric unit:
Mg1 0.000 0.000 0.000
Mg2 0.000 0.134 0.329
Mg3 0.491 0.295 0.043
Mg4 0.498 0.594 0.649
Mg5 0.503 0.429 0.370
Mg6 0.511 0.753 0.950
Si1 0.004 0.699 0.409
Si2 0.014 0.534 0.169
Si3 0.494 0.187 0.733
Si4 0.499 0.987 0.556
Si5 0.510 0.892 0.277
Si6 0.988 0.505 0.866
Si7 0.996 0.339 0.652
Si8 0.999 0.845 0.667

Main lines, in order of rising 2θ (2θ from 10° to 90°):
two_theta  Rel. int.  index
33.83  21  1 2 2
34.63  20  -1 2 2
36.02  24  0 2 3
37.56  57  0 3 2
38.29  87  1 -2 1
38.56  89  1 2 -1
38.79  54  1 1 3
39.20  100  2 0 0
39.81  51  -1 1 3
70.81  20  3 2 -1